For LiV3Te2O12, a crystal structure in Alexandria, relaxed with PBE+U gives the theoretical PXRD pattern in this record (Cu Kα, 1.54184 Å).
Kinematic intensities with the Lorentz-polarization factor, no thermal factor.

Structural model:
a b c (Å): 6.2956 7.2658 10.7960
angles (deg): 91.14 93.55 104.64
Fractional coordinates of all 36 atoms:
Li 0.2077 0.2464 0.3887
Li 0.7923 0.7536 0.6113
V 0.3429 0.7876 0.7447
V 0.3831 0.7721 0.4154
V 0.3843 0.8086 0.0782
V 0.6157 0.1914 0.9218
V 0.6169 0.2279 0.5846
V 0.6571 0.2124 0.2553
Te 0.1426 0.1794 0.7106
Te 0.1638 0.2156 0.0896
Te 0.8362 0.7844 0.9104
Te 0.8574 0.8206 0.2894
O 0.0910 0.9033 0.7144
O 0.1441 0.8721 0.3829
O 0.1471 0.9435 0.0944
O 0.1840 0.5725 0.7438
O 0.2123 0.5976 0.0753
O 0.2723 0.5440 0.4034
O 0.2963 0.2191 0.5626
O 0.3521 0.2646 0.9549
O 0.3725 0.2717 0.2304
O 0.3820 0.8823 0.9086
O 0.4153 0.8369 0.5814
O 0.4855 0.8458 0.2469
O 0.5145 0.1542 0.7531
O 0.5847 0.1631 0.4186
O 0.6180 0.1177 0.0914
O 0.6275 0.7283 0.7696
O 0.6479 0.7354 0.0451
O 0.7037 0.7809 0.4374
O 0.7277 0.4560 0.5966
O 0.7877 0.4024 0.9247
O 0.8160 0.4275 0.2562
O 0.8529 0.0565 0.9056
O 0.8559 0.1279 0.6171
O 0.9090 0.0967 0.2856

The 12 most intense peaks (2θ = 10–90°), low angle first:
(hkl)	two_theta	d_spacing	Rel. int.
0 1 0	12.60	7.025	95
0 1 2	21.16	4.199	51
1 0 2	22.81	3.898	48
0 2 0	25.36	3.512	100
1 0 -3	27.98	3.189	90
2 -1 0	28.90	3.090	68
1 0 3	29.78	3.000	43
-1 2 2	30.80	2.903	35
2 -2 0	33.74	2.657	32
2 1 0	35.04	2.561	33
0 3 0	38.43	2.343	42
-3 1 3	49.04	1.858	28